No. 1
Nd2Al9Rh3: simulated powder XRD pattern (Cu Kα (weighted mean of Kα1 and Kα2)), based on a PBE-relaxed structure.

```
data_Nd2Al9Rh3
_cell_length_a 7.6102
_cell_length_b 7.6102
_cell_length_c 9.6097
_cell_angle_alpha 90.00
_cell_angle_beta 90.00
_cell_angle_gamma 60.73
_space_group_name_H-M_alt 'P 1'
_space_group_IT_number 1
_space_group_name_Hall 'P 1'
loop_
_atom_site_label
_atom_site_fract_x
_atom_site_fract_y
_atom_site_fract_z
_atom_site_occupancy
Nd1 0.0048 0.6716 0.7500 1
Nd2 0.3284 0.9952 0.7500 1
Nd3 0.6716 0.0048 0.2500 1
Nd4 0.9952 0.3284 0.2500 1
Al1 0.0027 0.6643 0.0737 1
Al2 0.0027 0.6643 0.4263 1
Al3 0.1311 0.8689 0.2500 1
Al4 0.3339 0.6661 0.5455 1
Al5 0.3339 0.6661 0.9545 1
Al6 0.3357 0.9973 0.0737 1
Al7 0.3357 0.9973 0.4263 1
Al8 0.3402 0.4518 0.2500 1
Al9 0.4518 0.3402 0.7500 1
Al10 0.5482 0.6598 0.2500 1
Al11 0.6598 0.5482 0.7500 1
Al12 0.6643 0.0027 0.5737 1
Al13 0.6643 0.0027 0.9263 1
Al14 0.6661 0.3339 0.0455 1
Al15 0.6661 0.3339 0.4545 1
Al16 0.8689 0.1311 0.7500 1
Al17 0.9973 0.3357 0.5737 1
Al18 0.9973 0.3357 0.9263 1
Rh1 0.0000 0.0000 0.0000 1
Rh2 0.0000 0.0000 0.5000 1
Rh3 0.3289 0.3289 0.0000 1
Rh4 0.3289 0.3289 0.5000 1
Rh5 0.6711 0.6711 0.0000 1
Rh6 0.6711 0.6711 0.5000 1
```

Top 10 peaks for 2θ from 5° to 70°, in order of rising 2θ:
- 25.2°, d = 3.538 Å, I = 48
- 29.7°, d = 3.003 Å, I = 50
- 30.0°, d = 2.983 Å, I = 100
- 36.5°, d = 2.462 Å, I = 32
- 36.7°, d = 2.450 Å, I = 65
- 37.4°, d = 2.403 Å, I = 49
- 40.8°, d = 2.213 Å, I = 91
- 41.2°, d = 2.189 Å, I = 43
- 51.7°, d = 1.769 Å, I = 29
- 56.5°, d = 1.628 Å, I = 42



No. 2
Nd3AlRh3: simulated powder XRD pattern (Cu Kα (weighted mean of Kα1 and Kα2)), based on a PBE-relaxed structure.

```
data_Nd3AlRh3
_cell_length_a 5.7706
_cell_length_b 5.7706
_cell_length_c 14.0650
_cell_angle_alpha 90.00
_cell_angle_beta 90.00
_cell_angle_gamma 138.39
_space_group_name_H-M_alt 'P 1'
_space_group_IT_number 1
_space_group_name_Hall 'P 1'
loop_
_atom_site_label
_atom_site_fract_x
_atom_site_fract_y
_atom_site_fract_z
_atom_site_occupancy
Nd1 0.0181 0.9819 0.7500 1
Nd2 0.2936 0.7064 0.6068 1
Nd3 0.2936 0.7064 0.8932 1
Nd4 0.7064 0.2936 0.1068 1
Nd5 0.7064 0.2936 0.3932 1
Nd6 0.9819 0.0181 0.2500 1
Al1 0.0000 0.0000 0.0000 1
Al2 0.0000 0.0000 0.5000 1
Rh1 0.2614 0.7386 0.2500 1
Rh2 0.4234 0.5766 0.0874 1
Rh3 0.4234 0.5766 0.4126 1
Rh4 0.5766 0.4234 0.5874 1
Rh5 0.5766 0.4234 0.9126 1
Rh6 0.7386 0.2614 0.7500 1
```

Top 10 peaks for 2θ from 5° to 70°, in order of rising 2θ:
- 26.5°, d = 3.365 Å, I = 31
- 30.1°, d = 2.967 Å, I = 30
- 33.2°, d = 2.702 Å, I = 36
- 33.8°, d = 2.650 Å, I = 19
- 34.6°, d = 2.591 Å, I = 41
- 38.4°, d = 2.342 Å, I = 100
- 38.5°, d = 2.338 Å, I = 20
- 44.2°, d = 2.049 Å, I = 26
- 54.7°, d = 1.678 Å, I = 13
- 60.0°, d = 1.542 Å, I = 24



No. 3
Nd3AlRu3: simulated powder XRD pattern (Cu Kα (weighted mean of Kα1 and Kα2)), based on a PBE-relaxed structure.

```
data_Nd3AlRu3
_cell_length_a 5.8229
_cell_length_b 5.8229
_cell_length_c 13.6546
_cell_angle_alpha 90.00
_cell_angle_beta 90.00
_cell_angle_gamma 137.68
_space_group_name_H-M_alt 'P 1'
_space_group_IT_number 1
_space_group_name_Hall 'P 1'
loop_
_atom_site_label
_atom_site_fract_x
_atom_site_fract_y
_atom_site_fract_z
_atom_site_occupancy
Nd1 0.0067 0.9933 0.7500 1
Nd2 0.2942 0.7058 0.6058 1
Nd3 0.2942 0.7058 0.8942 1
Nd4 0.7058 0.2942 0.1058 1
Nd5 0.7058 0.2942 0.3942 1
Nd6 0.9933 0.0067 0.2500 1
Al1 0.0000 0.0000 0.0000 1
Al2 0.0000 0.0000 0.5000 1
Ru1 0.2877 0.7123 0.2500 1
Ru2 0.4190 0.5810 0.0931 1
Ru3 0.4190 0.5810 0.4069 1
Ru4 0.5810 0.4190 0.5931 1
Ru5 0.5810 0.4190 0.9069 1
Ru6 0.7123 0.2877 0.7500 1
```

Top 10 peaks for 2θ from 5° to 70°, in order of rising 2θ:
- 26.2°, d = 3.400 Å, I = 40
- 30.1°, d = 2.971 Å, I = 52
- 32.6°, d = 2.743 Å, I = 67
- 34.8°, d = 2.575 Å, I = 67
- 38.3°, d = 2.350 Å, I = 100
- 38.6°, d = 2.332 Å, I = 49
- 39.6°, d = 2.276 Å, I = 37
- 43.0°, d = 2.102 Å, I = 47
- 59.2°, d = 1.561 Å, I = 28
- 64.0°, d = 1.456 Å, I = 25



No. 4
NdAl2S4: simulated powder XRD pattern (Cu Kα (weighted mean of Kα1 and Kα2)), based on a PBE-relaxed structure.

```
data_NdAl2S4
_cell_length_a 5.8964
_cell_length_b 5.8964
_cell_length_c 10.1963
_cell_angle_alpha 90.00
_cell_angle_beta 90.00
_cell_angle_gamma 118.37
_space_group_name_H-M_alt 'P 1'
_space_group_IT_number 1
_space_group_name_Hall 'P 1'
loop_
_atom_site_label
_atom_site_fract_x
_atom_site_fract_y
_atom_site_fract_z
_atom_site_occupancy
Nd1 0.0000 0.0000 0.2500 1
Nd2 0.0000 0.0000 0.7500 1
Al1 0.2634 0.7318 0.0000 1
Al2 0.2682 0.7366 0.5000 1
Al3 0.7318 0.2634 0.5000 1
Al4 0.7366 0.2682 0.0000 1
S1 0.0000 0.5000 0.1691 1
S2 0.0000 0.5000 0.8309 1
S3 0.1448 0.3089 0.5000 1
S4 0.3089 0.1448 0.0000 1
S5 0.5000 0.0000 0.3309 1
S6 0.5000 0.0000 0.6691 1
S7 0.6911 0.8552 0.0000 1
S8 0.8552 0.6911 0.5000 1
```

Top 10 peaks for 2θ from 5° to 70°, in order of rising 2θ:
- 17.1°, d = 5.188 Å, I = 100
- 24.5°, d = 3.636 Å, I = 78
- 24.8°, d = 3.593 Å, I = 30
- 30.3°, d = 2.947 Å, I = 29
- 31.6°, d = 2.831 Å, I = 20
- 34.5°, d = 2.596 Å, I = 24
- 35.2°, d = 2.550 Å, I = 46
- 39.0°, d = 2.312 Å, I = 80
- 39.4°, d = 2.288 Å, I = 24
- 50.8°, d = 1.797 Å, I = 22



No. 5
Nd5AlS4: simulated powder XRD pattern (Cu Kα (weighted mean of Kα1 and Kα2)), based on a PBE-relaxed structure.

```
data_Nd5AlS4
_cell_length_a 7.1745
_cell_length_b 7.1745
_cell_length_c 7.1745
_cell_angle_alpha 99.50
_cell_angle_beta 99.50
_cell_angle_gamma 132.06
_space_group_name_H-M_alt 'P 1'
_space_group_IT_number 1
_space_group_name_Hall 'P 1'
loop_
_atom_site_label
_atom_site_fract_x
_atom_site_fract_y
_atom_site_fract_z
_atom_site_occupancy
Nd1 0.0000 0.0000 0.0000 1
Nd2 0.1934 0.6016 0.7950 1
Nd3 0.3984 0.1934 0.5917 1
Nd4 0.6016 0.8066 0.4083 1
Nd5 0.8066 0.3984 0.2050 1
Al1 0.5000 0.5000 0.0000 1
S1 0.1023 0.3011 0.4033 1
S2 0.3011 0.8977 0.1988 1
S3 0.6989 0.1023 0.8012 1
S4 0.8977 0.6989 0.5967 1
```

Top 10 peaks for 2θ from 5° to 70°, in order of rising 2θ:
- 26.4°, d = 3.379 Å, I = 100
- 30.5°, d = 2.932 Å, I = 87
- 30.7°, d = 2.915 Å, I = 43
- 43.7°, d = 2.073 Å, I = 32
- 43.8°, d = 2.067 Å, I = 63
- 51.7°, d = 1.767 Å, I = 33
- 52.0°, d = 1.760 Å, I = 16
- 54.3°, d = 1.689 Å, I = 33
- 63.5°, d = 1.466 Å, I = 10
- 70.0°, d = 1.345 Å, I = 7



No. 6
Nd2AlSb4: simulated powder XRD pattern (Cu Kα (weighted mean of Kα1 and Kα2)), based on a PBE-relaxed structure.

```
data_Nd2AlSb4
_cell_length_a 4.3691
_cell_length_b 4.3691
_cell_length_c 10.5691
_cell_angle_alpha 90.00
_cell_angle_beta 90.00
_cell_angle_gamma 90.00
_space_group_name_H-M_alt 'P 1'
_space_group_IT_number 1
_space_group_name_Hall 'P 1'
loop_
_atom_site_label
_atom_site_fract_x
_atom_site_fract_y
_atom_site_fract_z
_atom_site_occupancy
Nd1 0.0000 0.5000 0.2345 1
Nd2 0.5000 0.0000 0.7655 1
Al1 0.0000 0.0000 0.5000 1
Sb1 0.0000 0.0000 0.0000 1
Sb2 0.0000 0.5000 0.6560 1
Sb3 0.5000 0.0000 0.3440 1
Sb4 0.5000 0.5000 0.0000 1
```

Top 10 peaks for 2θ from 5° to 70°, in order of rising 2θ:
- 8.4°, d = 10.569 Å, I = 17
- 25.3°, d = 3.523 Å, I = 17
- 26.5°, d = 3.367 Å, I = 35
- 30.1°, d = 2.965 Å, I = 33
- 32.7°, d = 2.742 Å, I = 28
- 33.6°, d = 2.667 Å, I = 100
- 41.3°, d = 2.185 Å, I = 43
- 47.8°, d = 1.903 Å, I = 22
- 59.9°, d = 1.545 Å, I = 14
- 65.0°, d = 1.435 Å, I = 17



No. 7
Nd2ScAl3: simulated powder XRD pattern (Cu Kα (weighted mean of Kα1 and Kα2)), based on a PBE-relaxed structure.

```
data_Nd2ScAl3
_cell_length_a 5.9212
_cell_length_b 5.9212
_cell_length_c 9.2917
_cell_angle_alpha 90.00
_cell_angle_beta 90.00
_cell_angle_gamma 120.00
_space_group_name_H-M_alt 'P 1'
_space_group_IT_number 1
_space_group_name_Hall 'P 1'
loop_
_atom_site_label
_atom_site_fract_x
_atom_site_fract_y
_atom_site_fract_z
_atom_site_occupancy
Nd1 0.3333 0.6667 0.0631 1
Nd2 0.3333 0.6667 0.4369 1
Nd3 0.6667 0.3333 0.5631 1
Nd4 0.6667 0.3333 0.9369 1
Sc1 0.0000 0.0000 0.0000 1
Sc2 0.0000 0.0000 0.5000 1
Al1 0.1736 0.3472 0.7500 1
Al2 0.1736 0.8264 0.7500 1
Al3 0.3472 0.1736 0.2500 1
Al4 0.6528 0.8264 0.7500 1
Al5 0.8264 0.1736 0.2500 1
Al6 0.8264 0.6528 0.2500 1
```

Top 10 peaks for 2θ from 5° to 70°, in order of rising 2θ:
- 17.3°, d = 5.128 Å, I = 30
- 19.1°, d = 4.646 Å, I = 28
- 19.8°, d = 4.490 Å, I = 28
- 30.2°, d = 2.961 Å, I = 96
- 33.8°, d = 2.651 Å, I = 100
- 36.0°, d = 2.497 Å, I = 95
- 36.3°, d = 2.472 Å, I = 34
- 56.0°, d = 1.643 Å, I = 45
- 57.4°, d = 1.604 Å, I = 24
- 61.6°, d = 1.505 Å, I = 23



No. 8
Nd5Al2Se12: simulated powder XRD pattern (Cu Kα (weighted mean of Kα1 and Kα2)), based on a PBE-relaxed structure.

```
data_Nd5Al2Se12
_cell_length_a 8.7076
_cell_length_b 8.7076
_cell_length_c 9.2176
_cell_angle_alpha 101.64
_cell_angle_beta 101.64
_cell_angle_gamma 51.45
_space_group_name_H-M_alt 'P 1'
_space_group_IT_number 1
_space_group_name_Hall 'P 1'
loop_
_atom_site_label
_atom_site_fract_x
_atom_site_fract_y
_atom_site_fract_z
_atom_site_occupancy
Nd1 0.0000 0.0000 0.0000 1
Nd2 0.2930 0.2930 0.1525 1
Nd3 0.3210 0.3210 0.6842 1
Nd4 0.6790 0.6790 0.3158 1
Nd5 0.7070 0.7070 0.8475 1
Al1 0.2486 0.7514 0.5000 1
Al2 0.7514 0.2486 0.5000 1
Se1 0.0182 0.0182 0.6870 1
Se2 0.0733 0.5796 0.4268 1
Se3 0.1063 0.6012 0.9368 1
Se4 0.3988 0.8937 0.0632 1
Se5 0.4204 0.9267 0.5732 1
Se6 0.4888 0.4888 0.3082 1
Se7 0.5112 0.5112 0.6918 1
Se8 0.5796 0.0733 0.4268 1
Se9 0.6012 0.1063 0.9368 1
Se10 0.8937 0.3988 0.0632 1
Se11 0.9267 0.4204 0.5732 1
Se12 0.9818 0.9818 0.3130 1
```

Top 10 peaks for 2θ from 5° to 70°, in order of rising 2θ:
- 21.0°, d = 4.226 Å, I = 90
- 22.6°, d = 3.928 Å, I = 100
- 30.9°, d = 2.892 Å, I = 63
- 33.3°, d = 2.688 Å, I = 54
- 34.7°, d = 2.584 Å, I = 56
- 35.2°, d = 2.549 Å, I = 50
- 36.1°, d = 2.485 Å, I = 59
- 39.2°, d = 2.298 Å, I = 38
- 41.8°, d = 2.160 Å, I = 36
- 48.2°, d = 1.890 Å, I = 38



No. 9
Nd2AlSe4: simulated powder XRD pattern (Cu Kα (weighted mean of Kα1 and Kα2)), based on a PBE-relaxed structure.

```
data_Nd2AlSe4
_cell_length_a 6.9635
_cell_length_b 6.8754
_cell_length_c 7.9468
_cell_angle_alpha 90.00
_cell_angle_beta 106.62
_cell_angle_gamma 90.00
_space_group_name_H-M_alt 'P 1'
_space_group_IT_number 1
_space_group_name_Hall 'P 1'
loop_
_atom_site_label
_atom_site_fract_x
_atom_site_fract_y
_atom_site_fract_z
_atom_site_occupancy
Nd1 0.2325 0.2500 0.0548 1
Nd2 0.2364 0.2500 0.5623 1
Nd3 0.7636 0.7500 0.4377 1
Nd4 0.7675 0.7500 0.9452 1
Al1 0.2481 0.7500 0.3119 1
Al2 0.7519 0.2500 0.6881 1
Se1 0.0024 0.0060 0.2506 1
Se2 0.0024 0.4940 0.2506 1
Se3 0.4240 0.7500 0.0971 1
Se4 0.4273 0.7500 0.6145 1
Se5 0.5727 0.2500 0.3855 1
Se6 0.5760 0.2500 0.9029 1
Se7 0.9976 0.5060 0.7494 1
Se8 0.9976 0.9940 0.7494 1
```

Top 10 peaks for 2θ from 5° to 70°, in order of rising 2θ:
- 18.5°, d = 4.788 Å, I = 52
- 25.9°, d = 3.438 Å, I = 34
- 29.2°, d = 3.056 Å, I = 37
- 30.1°, d = 2.965 Å, I = 39
- 30.2°, d = 2.962 Å, I = 39
- 32.9°, d = 2.721 Å, I = 100
- 35.2°, d = 2.552 Å, I = 92
- 37.6°, d = 2.394 Å, I = 35
- 53.3°, d = 1.719 Å, I = 31
- 55.1°, d = 1.667 Å, I = 33



No. 10
Nd6Al3Se14: simulated powder XRD pattern (Cu Kα (weighted mean of Kα1 and Kα2)), based on a PBE-relaxed structure.

```
data_Nd6Al3Se14
_cell_length_a 10.5489
_cell_length_b 10.5489
_cell_length_c 6.1671
_cell_angle_alpha 90.00
_cell_angle_beta 90.00
_cell_angle_gamma 120.00
_space_group_name_H-M_alt 'P 1'
_space_group_IT_number 1
_space_group_name_Hall 'P 1'
loop_
_atom_site_label
_atom_site_fract_x
_atom_site_fract_y
_atom_site_fract_z
_atom_site_occupancy
Nd1 0.0334 0.4724 0.0000 1
Nd2 0.2979 0.1940 0.5044 1
Nd3 0.4390 0.9666 0.0000 1
Nd4 0.5276 0.5610 0.0000 1
Nd5 0.8060 0.1039 0.5044 1
Nd6 0.8961 0.7021 0.5044 1
Al1 0.0000 0.0000 0.0891 1
Al2 0.3333 0.6667 0.5910 1
Al3 0.6667 0.3333 0.7275 1
Se1 0.0000 0.0000 0.7059 1
Se2 0.0883 0.2407 0.2366 1
Se3 0.1525 0.9117 0.2366 1
Se4 0.1830 0.7569 0.7392 1
Se5 0.2431 0.4261 0.7392 1
Se6 0.3333 0.6667 0.2071 1
Se7 0.4278 0.2405 0.9595 1
Se8 0.5158 0.0917 0.4979 1
Se9 0.5739 0.8170 0.7392 1
Se10 0.5760 0.4842 0.4979 1
Se11 0.7595 0.1873 0.9595 1
Se12 0.7593 0.8475 0.2366 1
Se13 0.8127 0.5722 0.9595 1
Se14 0.9083 0.4240 0.4979 1
```

Top 10 peaks for 2θ from 5° to 70°, in order of rising 2θ:
- 17.3°, d = 5.111 Å, I = 47
- 24.2°, d = 3.671 Å, I = 55
- 29.7°, d = 3.013 Å, I = 85
- 30.6°, d = 2.922 Å, I = 47
- 32.8°, d = 2.730 Å, I = 100
- 34.0°, d = 2.637 Å, I = 62
- 35.1°, d = 2.556 Å, I = 85
- 35.4°, d = 2.534 Å, I = 56
- 38.4°, d = 2.344 Å, I = 80
- 39.2°, d = 2.300 Å, I = 59